# NaCu2SbSe4
Computed PXRD pattern, Cu Ka. Input: a DFT-relaxed cell (PBE, Alexandria).
Peak positions follow from Bragg's law for the DFT cell and can differ from measured ones.

Structural model:
```
data_NaCu2SbSe4
_chemical_formula_sum 'Na2 Cu4 Sb2 Se8'
_space_group_name_H-M_alt 'I -4 2 m'
_space_group_IT_number 121
_space_group_name_Hall 'I -4 2'
_cell_length_a 6.135
_cell_length_b 6.135
_cell_length_c 11.070
_cell_angle_alpha 90.00
_cell_angle_beta 90.00
_cell_angle_gamma 90.00
loop_
_atom_site_label
_atom_site_fract_x
_atom_site_fract_y
_atom_site_fract_z
Na1 0.000 0.000 0.000
Cu1 0.000 0.500 0.250
Sb1 0.000 0.000 0.500
Se1 0.232 0.232 0.648
```

Most intense lines, 2θ from 15° to 90°, by intensity:
(1 1 2), 2θ = 26.1°, d 3.414, I = 100
(2 0 4), 2θ = 44.1°, d 2.055, I = 41
(3 1 2), 2θ = 49.8°, d 1.831, I = 32
(2 2 0), 2θ = 41.6°, d 2.169, I = 28
(1 0 1), 2θ = 16.5°, d 5.366, I = 24
(4 2 4), 2θ = 77.7°, d 1.229, I = 13
(1 1 6), 2θ = 54.0°, d 1.698, I = 9
(4 0 0), 2θ = 60.4°, d 1.534, I = 9


# K2BBr5
Computed PXRD pattern, Cu Ka. Input: a DFT-relaxed cell (PBE, Alexandria).
Peak positions follow from Bragg's law for the DFT cell and can differ from measured ones.

Structural model:
```
data_K2BBr5
_chemical_formula_sum 'K8 B4 Br20'
_space_group_name_H-M_alt 'F m m 2'
_space_group_IT_number 42
_space_group_name_Hall 'F 2 -2'
_cell_length_a 9.490
_cell_length_b 14.542
_cell_length_c 9.155
_cell_angle_alpha 90.00
_cell_angle_beta 90.00
_cell_angle_gamma 90.00
loop_
_atom_site_label
_atom_site_fract_x
_atom_site_fract_y
_atom_site_fract_z
K1 0.250 0.250 0.000
B1 0.000 0.000 0.243
Br1 0.000 0.000 0.034
Br2 0.000 0.241 0.750
Br3 0.175 0.000 0.346
```

Most intense lines, 2θ from 15° to 90°, by intensity:
(2 2 2), 2θ = 29.8°, d 3.001, I = 100
(0 4 0), 2θ = 24.5°, d 3.636, I = 76
(3 1 1), 2θ = 30.5°, d 2.929, I = 30
(2 6 2), 2θ = 46.5°, d 1.952, I = 27
(1 3 1), 2θ = 22.8°, d 3.905, I = 22
(1 1 3), 2θ = 31.4°, d 2.848, I = 21
(0 2 4), 2θ = 41.4°, d 2.183, I = 18
(2 0 2), 2θ = 27.1°, d 3.294, I = 18